# 1
Structure and calculated X-ray diffraction stick pattern of TlO (a crystal structure in Alexandria, relaxed with GGA-PBE; a wavelength of 1.5418 Å).

Structure:
```
TlO
1.0
21.9470 0.0000 0.0000
0.0000 2.4275 2.6245
0.0000 -2.4275 2.6245
Tl O
8 8
Cartesian
1.3263 -1.2137 2.6245
4.1737 -1.2137 2.6311
6.8295 1.2137 2.6149
9.6440 1.2137 3.0317
12.3030 -1.2137 3.0317
15.1175 -1.2137 2.6149
17.7734 1.2137 2.6311
20.6207 1.2137 2.6245
0.8824 1.2137 2.9106
4.6175 1.2137 2.9214
6.3801 -1.2137 2.9354
10.0928 -1.2137 2.7086
11.8542 1.2137 2.7086
15.5669 1.2137 2.9354
17.3295 -1.2137 2.9214
21.0646 -1.2137 2.9106
```

Largest 10 diffraction maxima, most intense first, 10 to 90 degrees two-theta:
d (Å), Rel. int.
3.390, 100
2.553, 53
2.743, 39
2.625, 32
2.427, 30
1.818, 23
1.896, 22
1.494, 21
1.782, 20
1.869, 20

=====

# 2
Structure and calculated X-ray diffraction stick pattern of DyGa2AgAu2 (a crystal structure in Alexandria, relaxed with GGA-PBE; a wavelength of 1.5418 Å).

Structure:
```
DyGa2AgAu2
1.0
4.5298 0.0000 0.0000
-2.2649 3.9229 0.0000
0.0000 0.0000 6.5491
Dy Ga Ag Au
1 2 1 2
Cartesian
0.0000 0.0000 0.0000
0.0000 2.6153 1.8310
2.2649 1.3076 4.7181
0.0000 0.0000 3.2745
0.0000 2.6153 4.8307
2.2649 1.3076 1.7184
```

Largest 10 diffraction maxima, most intense first, 10 to 90 degrees two-theta:
d (Å), Rel. int.
2.514, 100
2.265, 86
3.365, 39
1.683, 29
1.351, 28
1.327, 27
1.308, 15
1.863, 10
1.132, 10
1.637, 9

=====

# 3
Structure and calculated X-ray diffraction stick pattern of Sm3Er8Mg (a crystal structure in Alexandria, relaxed with GGA-PBE; a wavelength of 1.5418 Å).

Structure:
```
Sm3Er8Mg
1.0
-4.3084 4.3084 5.5771
4.3084 -4.3084 5.5771
4.3084 4.3084 -5.5771
Sm Er Mg
3 8 1
Cartesian
0.0000 0.0000 0.0000
4.3084 0.0000 2.7886
0.0000 4.3084 2.7886
1.0901 -1.0901 2.8162
2.2138 2.2138 -0.0452
2.0946 -2.0946 5.6224
-1.0901 1.0901 2.8162
3.2184 3.2184 2.7609
2.0946 2.0946 5.5319
-2.0946 2.0946 5.6224
1.0901 1.0901 8.3381
0.0000 0.0000 5.5771
```

Largest 10 diffraction maxima, most intense first, 10 to 90 degrees two-theta:
d (Å), Rel. int.
3.410, 100
3.642, 95
2.448, 89
2.788, 83
3.047, 79
2.010, 70
2.675, 68
2.057, 53
1.337, 44
1.821, 35